For Ho4Tm, a structure optimized by DFT (PBE) gives the theoretical powder diffractogram in this record (Cu Ka).
Lines closer than 0.1° are merged.

Peak list (10 most intense, 2θ = 10–90°, sorted by position)
hkl	Position (°2θ)	I (rel.)
2 0 1	31.21	100
0 0 5	31.32	33
1 1 3	36.23	67
0 2 0	52.10	24
2 0 6	52.23	24
3 1 4	62.00	28
1 1 8	62.12	24
4 0 2	65.11	12
5 1 0	85.20	12
3 1 9	88.12	11

Structural model:
a = 6.077 Å, b = 3.513 Å, c = 14.420 Å
α = 90.00°, β = 97.93°, γ = 90.00°
Space group C2/m (No. 12)
Symmetry-distinct sites (fractional):
Ho  0.100  0.000  0.301 [4 per cell]
Ho  0.200  0.500  0.100 [4 per cell]
Tm  0.000  0.500  0.500 [2 per cell]

For AgCl6F, a structure optimized by DFT (PBE) gives the theoretical powder diffractogram in this record (Cu Ka).
Lines closer than 0.1° are merged.

Peak list (10 most intense, 2θ = 10–90°, sorted by position)
hkl	Position (°2θ)	I (rel.)
0 0 1	11.02	41
0 1 0	12.22	21
1 0 0	21.61	100
0 0 2	22.14	51
0 2 0	24.58	33
1 0 -2	28.09	22
0 2 -2	28.66	32
1 -2 0	31.64	15
0 0 3	33.48	28
1 0 -3	36.59	15

Structural model:
a = 4.183 Å, b = 7.497 Å, c = 8.426 Å
α = 104.30°, β = 99.64°, γ = 91.86°
Space group P-1 (No. 2)
Symmetry-distinct sites (fractional):
Ag  0.000  0.000  0.000 [1 per cell]
Cl  0.023  0.911  0.393 [2 per cell]
Cl  0.025  0.556  0.623 [2 per cell]
Cl  0.070  0.639  0.010 [2 per cell]
F  0.500  0.000  0.000 [1 per cell]

For Na2AgHg5Pd2, a structure optimized by DFT (PBE) gives the theoretical powder diffractogram in this record (Cu Ka).
Lines closer than 0.1° are merged.

Peak list (10 most intense, 2θ = 10–90°, sorted by position)
hkl	Position (°2θ)	I (rel.)
2 1 0	18.83	41
0 0 1	22.08	28
3 1 1	34.96	100
4 1 0	35.12	31
3 2 1	38.05	47
4 2 0	38.20	15
4 1 1	41.88	30
0 0 2	45.04	23
4 1 2	58.36	14
5 5 1	66.97	17

Structural model:
a = 10.535 Å, b = 10.535 Å, c = 4.025 Å
α = 90.00°, β = 90.00°, γ = 90.00°
Space group P4/mbm (No. 127)
Symmetry-distinct sites (fractional):
Na  0.171  0.329  0.000 [4 per cell]
Ag  0.000  0.000  0.000 [2 per cell]
Hg  0.000  0.500  0.500 [2 per cell]
Hg  0.070  0.803  0.500 [8 per cell]
Pd  0.127  0.627  0.000 [4 per cell]

For Hf11Sc, a structure optimized by DFT (PBE) gives the theoretical powder diffractogram in this record (Cu Ka).
Lines closer than 0.1° are merged.

Peak list (10 most intense, 2θ = 10–90°, sorted by position)
hkl	Position (°2θ)	I (rel.)
1 0 0	10.19	18
1 0 1	30.52	14
1 1 1	33.91	19
2 0 1	35.50	46
2 2 0	35.82	100
2 1 1	39.93	29
4 0 1	51.32	15
4 2 1	64.16	15
6 0 0	64.37	17
2 2 2	71.36	27

Structural model:
a = 10.0273 Å, b = 10.0273 Å, c = 3.1113 Å
α = 90.00°, β = 90.00°, γ = 120.00°
Space group P6/mmm (No. 191)
Symmetry-distinct sites (fractional):
Hf  0.0000  0.5000  0.0000 [3 per cell]
Hf  0.1747  0.3494  0.5000 [6 per cell]
Hf  0.3333  0.6667  0.0000 [2 per cell]
Sc  0.0000  0.0000  0.0000 [1 per cell]

For Co2Pd8Pt, a structure optimized by DFT (PBE) gives the theoretical powder diffractogram in this record (Cu Ka).
Lines closer than 0.1° are merged.

Peak list (10 most intense, 2θ = 10–90°, sorted by position)
hkl	Position (°2θ)	I (rel.)
4 0 1	28.36	24
6 0 -1	29.55	22
6 0 1	38.30	28
4 0 -3	38.79	23
3 1 1	40.45	30
0 0 3	40.62	32
5 1 -1	41.16	100
1 1 -2	41.53	50
6 0 -3	42.19	58
1 1 2	43.93	42

Structural model:
a = 18.219 Å, b = 2.774 Å, c = 7.088 Å
α = 90.00°, β = 109.93°, γ = 90.00°
Space group Cm (No. 8)
Symmetry-distinct sites (fractional):
Co  0.000  0.000  0.000 [2 per cell]
Co  0.125  0.500  0.613 [2 per cell]
Pd  0.010  0.000  0.645 [2 per cell]
Pd  0.115  0.500  0.968 [2 per cell]
Pd  0.132  0.000  0.314 [2 per cell]
Pd  0.231  0.000  0.883 [2 per cell]
Pd  0.259  0.500  0.565 [2 per cell]
Pd  0.367  0.500  0.050 [2 per cell]
Pd  0.394  0.000  0.731 [2 per cell]
Pd  0.494  0.000  0.300 [2 per cell]
Pt  0.312  0.000  0.307 [2 per cell]

For La2TbSm6, a structure optimized by DFT (PBE) gives the theoretical powder diffractogram in this record (Cu Ka).
Lines closer than 0.1° are merged.

Peak list (10 most intense, 2θ = 10–90°, sorted by position)
hkl	Position (°2θ)	I (rel.)
1 0 0	28.25	46
0 0 9	29.66	46
1 0 4	31.24	60
1 0 5	32.81	100
1 0 9	41.42	29
1 1 0	50.00	36
1 0 14	55.67	31
1 1 9	59.22	39
2 0 5	61.10	17
2 1 5	82.76	14

Structural model:
a = 3.6480 Å, b = 3.6480 Å, c = 27.1104 Å
α = 90.00°, β = 90.00°, γ = 120.00°
Space group P-6m2 (No. 187)
Symmetry-distinct sites (fractional):
La  0.0000  0.0000  0.1710 [2 per cell]
Tb  0.6667  0.3333  0.5000 [1 per cell]
Sm  0.0000  0.0000  0.3931 [2 per cell]
Sm  0.6667  0.3333  0.0622 [2 per cell]
Sm  0.6667  0.3333  0.2860 [2 per cell]